The following is a calculated powder diffractogram of Li2H2OF2. It was derived from a GGA-PBE-relaxed structure, using Cu Kα, 1.54184 Å.
Peak positions follow from Bragg's law for the DFT cell and can differ from measured ones.

Principal peaks in the range 10 to 90 degrees two-theta, by intensity:
index	Position (°2θ)	d (Å)	Rel. int.
0 1 1	32.83	2.728	1000
0 1 -2	40.60	2.222	750
1 0 -1	32.53	2.753	680
1 1 0	40.32	2.237	545
0 2 -1	42.41	2.131	359
1 0 0	31.32	2.856	323
1 -2 0	50.45	1.809	314
-1 1 1	39.79	2.266	254
-1 1 2	52.80	1.734	236
1 -1 0	35.67	2.517	194

Atomic structure:
a = 2.9644 Å, b = 4.3747 Å, c = 4.7482 Å
α = 103.69°, β = 103.79°, γ = 93.62°
Fractional coordinates of all 7 atoms:
1 Li 0.1380 0.3217 0.2584
2 Li 0.8620 0.6783 0.7416
3 H 0.4206 0.1456 0.8529
4 H 0.5794 0.8544 0.1471
5 O 0.5000 0.0000 0.0000
6 F 0.3045 0.3517 0.6808
7 F 0.6955 0.6483 0.3192